Entry 1:
Diffraction record for C. The X-ray powder pattern is theoretical, not measured: it uses a DFT-relaxed cell (GGA-PBE, the Materials Project) and a wavelength of 1.5418 Å.

Atomic structure:
```
data_C
_chemical_formula_sum 'C180'
_cell_length_a 9.2047
_cell_length_b 9.2047
_cell_length_c 24.6970
_cell_angle_alpha 90.00
_cell_angle_beta 90.00
_cell_angle_gamma 120.00
_space_group_name_H-M_alt 'R -3 m'
_space_group_IT_number 166
_space_group_name_Hall '-R 3 2"'
loop_
_atom_site_label
_atom_site_type_symbol
_atom_site_fract_x
_atom_site_fract_y
_atom_site_fract_z
C1 C 0.0017 0.1561 0.3730
C2 C 0.0166 0.2908 0.5945
C3 C 0.0329 0.2390 0.8220
C4 C 0.0460 0.5230 0.7600
C5 C 0.0579 0.4520 0.8971
C6 C 0.1076 0.2152 0.1432
```

Top 12 peaks for 2θ from 15° to 90°, by intensity:
d (Å)	intensity	h k l
4.881	100	1 0 4
4.199	59	0 1 5
4.602	46	1 1 0
2.927	22	1 2 2
4.017	16	1 1 3
3.068	14	1 1 6
3.102	13	2 0 5
4.116	11	0 0 6
1.715	9	2 3 5
2.232	8	0 3 6
2.441	8	2 0 8
2.572	6	1 2 5

Entry 2:
Diffraction record for C. The X-ray powder pattern is theoretical, not measured: it uses a DFT-relaxed cell (GGA-PBE, the Materials Project) and a wavelength of 1.5418 Å.

Atomic structure:
```
data_C
_chemical_formula_sum 'C16'
_cell_length_a 4.915
_cell_length_b 5.489
_cell_length_c 6.265
_cell_angle_alpha 90.00
_cell_angle_beta 90.00
_cell_angle_gamma 90.00
_space_group_name_H-M_alt 'C m m m'
_space_group_IT_number 65
_space_group_name_Hall '-C 2 2'
loop_
_atom_site_label
_atom_site_type_symbol
_atom_site_fract_x
_atom_site_fract_y
_atom_site_fract_z
C1 C 0.000 0.126 0.195
C2 C 0.250 0.250 0.109
```

Top 12 peaks for 2θ from 15° to 90°, by intensity:
d (Å)	intensity	h k l
3.662	100	1 1 0
2.744	39	0 2 0
2.514	33	0 2 1
2.380	26	1 1 2
2.088	23	0 0 3
3.133	20	0 0 2
1.934	18	2 0 2
1.757	15	2 2 1
1.831	15	2 2 0
3.161	14	1 1 1
1.198	11	2 4 0
1.814	11	1 1 3

Entry 3:
Diffraction record for C. The X-ray powder pattern is theoretical, not measured: it uses a DFT-relaxed cell (GGA-PBE, the Materials Project) and a wavelength of 1.5418 Å.

Atomic structure:
```
data_C
_chemical_formula_sum 'C20'
_cell_length_a 5.217
_cell_length_b 5.217
_cell_length_c 5.217
_cell_angle_alpha 90.00
_cell_angle_beta 90.00
_cell_angle_gamma 90.00
_space_group_name_H-M_alt 'P m -3 m'
_space_group_IT_number 221
_space_group_name_Hall '-P 4 2 3'
loop_
_atom_site_label
_atom_site_type_symbol
_atom_site_fract_x
_atom_site_fract_y
_atom_site_fract_z
C1 C 0.000 0.348 0.348
C2 C 0.238 0.238 0.238
```

Top 12 peaks for 2θ from 15° to 90°, by intensity:
d (Å)	intensity	h k l
3.689	100	1 1 0
2.609	62	2 0 0
3.012	53	1 1 1
2.333	46	2 1 0
1.739	34	3 0 0
1.167	27	4 2 0
1.230	26	3 3 0
1.845	23	2 2 0
2.130	21	2 1 1
1.506	8	2 2 2
1.265	7	3 2 2
1.573	7	3 1 1

Entry 4:
Diffraction record for C. The X-ray powder pattern is theoretical, not measured: it uses a DFT-relaxed cell (GGA-PBE, the Materials Project) and a wavelength of 1.5418 Å.

Atomic structure:
```
data_C
_chemical_formula_sum 'C8'
_cell_length_a 2.702
_cell_length_b 7.821
_cell_length_c 2.512
_cell_angle_alpha 90.00
_cell_angle_beta 90.00
_cell_angle_gamma 90.00
_space_group_name_H-M_alt 'C m m m'
_space_group_IT_number 65
_space_group_name_Hall '-C 2 2'
loop_
_atom_site_label
_atom_site_type_symbol
_atom_site_fract_x
_atom_site_fract_y
_atom_site_fract_z
C1 C 0.000 0.086 0.000
C2 C 0.000 0.189 0.500
```

Top 12 peaks for 2θ from 15° to 90°, by intensity:
d (Å)	intensity	h k l
2.554	100	1 1 0
2.114	45	0 2 1
1.192	20	1 5 1
1.876	17	1 3 0
1.503	11	1 3 1
1.351	9	2 0 0
3.911	9	0 2 0
1.127	8	1 1 2
1.138	7	2 2 1
1.157	7	0 6 1
1.791	7	1 1 1
1.256	7	0 0 2

Entry 5:
Diffraction record for C. The X-ray powder pattern is theoretical, not measured: it uses a DFT-relaxed cell (GGA-PBE, the Materials Project) and a wavelength of 1.5418 Å.

Atomic structure:
```
data_C
_chemical_formula_sum 'C2'
_cell_length_a 2.4672
_cell_length_b 2.4672
_cell_length_c 3.8300
_cell_angle_alpha 90.00
_cell_angle_beta 90.00
_cell_angle_gamma 120.00
_space_group_name_H-M_alt 'P 6/m m m'
_space_group_IT_number 191
_space_group_name_Hall '-P 6 2'
loop_
_atom_site_label
_atom_site_type_symbol
_atom_site_fract_x
_atom_site_fract_y
_atom_site_fract_z
C1 C 0.3333 0.6667 0.0000
```

Top 9 peaks for 2θ from 15° to 90°, by intensity:
d (Å)	intensity	h k l
3.830	100	0 0 1
1.866	11	1 0 1
2.137	9	1 0 0
1.915	8	0 0 2
1.174	7	1 1 1
1.234	4	1 1 0
1.426	3	1 0 2
1.277	1	0 0 3
1.096	1	1 0 3

Entry 6:
Diffraction record for C. The X-ray powder pattern is theoretical, not measured: it uses a DFT-relaxed cell (GGA-PBE, the Materials Project) and a wavelength of 1.5418 Å.

Atomic structure:
```
data_C
_chemical_formula_sum 'C2'
_cell_length_a 2.4684
_cell_length_b 2.4684
_cell_length_c 9.9991
_cell_angle_alpha 90.00
_cell_angle_beta 90.00
_cell_angle_gamma 120.00
_space_group_name_H-M_alt 'P 6/m m m'
_space_group_IT_number 191
_space_group_name_Hall '-P 6 2'
loop_
_atom_site_label
_atom_site_type_symbol
_atom_site_fract_x
_atom_site_fract_y
_atom_site_fract_z
C1 C 0.3333 0.6667 0.0000
```

Top 12 peaks for 2θ from 15° to 90°, by intensity:
d (Å)	intensity	h k l
5.000	100	0 0 2
3.333	30	0 0 3
2.500	11	0 0 4
2.090	8	1 0 1
1.966	6	1 0 2
2.000	4	0 0 5
2.138	4	1 0 0
1.799	4	1 0 3
1.225	4	1 1 1
1.198	3	1 1 2
1.157	3	1 1 3
1.625	3	1 0 4

Entry 7:
Diffraction record for C. The X-ray powder pattern is theoretical, not measured: it uses a DFT-relaxed cell (GGA-PBE, the Materials Project) and a wavelength of 1.5418 Å.

Atomic structure:
```
data_C
_chemical_formula_sum 'C6'
_cell_length_a 2.4684
_cell_length_b 2.4684
_cell_length_c 12.0611
_cell_angle_alpha 90.00
_cell_angle_beta 90.00
_cell_angle_gamma 120.00
_space_group_name_H-M_alt 'R -3 m'
_space_group_IT_number 166
_space_group_name_Hall '-R 3 2"'
loop_
_atom_site_label
_atom_site_type_symbol
_atom_site_fract_x
_atom_site_fract_y
_atom_site_fract_z
C1 C 0.0000 0.0000 0.1667
```

Top 10 peaks for 2θ from 15° to 90°, by intensity:
d (Å)	intensity	h k l
4.020	100	0 0 3
2.010	8	0 0 6
2.105	8	1 0 1
2.015	6	0 1 2
1.180	6	1 1 3
1.744	3	1 0 4
1.234	3	1 1 0
1.341	3	0 0 9
1.600	2	0 1 5
1.232	1	0 1 8

Entry 8:
Diffraction record for CaC2. The X-ray powder pattern is theoretical, not measured: it uses a DFT-relaxed cell (GGA-PBE, the Materials Project) and a wavelength of 1.5418 Å.

Atomic structure:
```
data_CaC2
_chemical_formula_sum 'Ca2 C4'
_cell_length_a 3.931
_cell_length_b 3.970
_cell_length_c 7.450
_cell_angle_alpha 78.79
_cell_angle_beta 85.54
_cell_angle_gamma 60.47
_space_group_name_H-M_alt 'P -1'
_space_group_IT_number 2
loop_
_space_group_symop_operation_xyz
'x,y,z'
'-x,-y,-z'
loop_
_atom_site_label
_atom_site_type_symbol
_atom_site_fract_x
_atom_site_fract_y
_atom_site_fract_z
Ca1 Ca 0.229 0.464 0.254
C1 C 0.129 0.930 0.562
C2 C 0.446 0.136 0.931
```

Top 12 peaks for 2θ from 15° to 90°, by intensity:
d (Å)	intensity	h k l
3.072	100	1 0 1
2.747	98	0 1 2
2.892	94	1 1 -1
1.965	45	-1 1 1
3.653	38	0 0 2
2.004	29	1 0 -3
2.141	26	1 1 3
2.291	26	0 1 -2
3.398	24	0 1 0
1.979	23	1 2 1
1.959	22	2 1 0
3.262	17	1 1 1

Repeat the seventh record exactly.
Diffraction record for C. The X-ray powder pattern is theoretical, not measured: it uses a DFT-relaxed cell (GGA-PBE, the Materials Project) and a wavelength of 1.5418 Å.

Atomic structure:
```
data_C
_chemical_formula_sum 'C6'
_cell_length_a 2.4684
_cell_length_b 2.4684
_cell_length_c 12.0611
_cell_angle_alpha 90.00
_cell_angle_beta 90.00
_cell_angle_gamma 120.00
_space_group_name_H-M_alt 'R -3 m'
_space_group_IT_number 166
_space_group_name_Hall '-R 3 2"'
loop_
_atom_site_label
_atom_site_type_symbol
_atom_site_fract_x
_atom_site_fract_y
_atom_site_fract_z
C1 C 0.0000 0.0000 0.1667
```

Top 10 peaks for 2θ from 15° to 90°, by intensity:
d (Å)	intensity	h k l
4.020	100	0 0 3
2.010	8	0 0 6
2.105	8	1 0 1
2.015	6	0 1 2
1.180	6	1 1 3
1.744	3	1 0 4
1.234	3	1 1 0
1.341	3	0 0 9
1.600	2	0 1 5
1.232	1	0 1 8

Please write out number 6 again, unchanged.
Diffraction record for C. The X-ray powder pattern is theoretical, not measured: it uses a DFT-relaxed cell (GGA-PBE, the Materials Project) and a wavelength of 1.5418 Å.

Atomic structure:
```
data_C
_chemical_formula_sum 'C2'
_cell_length_a 2.4684
_cell_length_b 2.4684
_cell_length_c 9.9991
_cell_angle_alpha 90.00
_cell_angle_beta 90.00
_cell_angle_gamma 120.00
_space_group_name_H-M_alt 'P 6/m m m'
_space_group_IT_number 191
_space_group_name_Hall '-P 6 2'
loop_
_atom_site_label
_atom_site_type_symbol
_atom_site_fract_x
_atom_site_fract_y
_atom_site_fract_z
C1 C 0.3333 0.6667 0.0000
```

Top 12 peaks for 2θ from 15° to 90°, by intensity:
d (Å)	intensity	h k l
5.000	100	0 0 2
3.333	30	0 0 3
2.500	11	0 0 4
2.090	8	1 0 1
1.966	6	1 0 2
2.000	4	0 0 5
2.138	4	1 0 0
1.799	4	1 0 3
1.225	4	1 1 1
1.198	3	1 1 2
1.157	3	1 1 3
1.625	3	1 0 4